Starting from a cell relaxed with PBE, the powder XRD pattern of Y3Ho7Tm was computed for Cu Kα.

Structure:
Cell lengths 6.9629, 5.4947, 9.8285 Å; angles 90.00, 109.93, 90.00 degrees
Positions (direct):
Y: 0.0000 0.0000 0.0000
Y: 0.2777 0.5000 0.4963
Y: 0.7223 0.5000 0.5037
Ho: 0.0000 0.0000 0.5000
Ho: 0.1498 0.5000 0.7923
Ho: 0.3212 0.5000 0.1400
Ho: 0.4222 0.0000 0.3298
Ho: 0.5778 0.0000 0.6702
Ho: 0.6788 0.5000 0.8600
Ho: 0.8502 0.5000 0.2077
Tm: 0.5000 0.0000 0.0000

Main lines, sorted by position (2θ = 10–90°):
hkl 2 0 -1, 2θ 25.6, rel. 21; hkl 2 1 0, 2θ 31.8, rel. 80; hkl 2 1 -2, 2θ 32.0, rel. 100; hkl 0 2 0, 2θ 32.6, rel. 57; hkl 0 1 3, 2θ 33.4, rel. 54; hkl 4 2 -2, 2θ 63.3, rel. 24